Theoretical PXRD pattern
Compound: Ca4ZnBi3
Radiation: Cu Ka
Structure: a crystal structure in Alexandria, relaxed with GGA-PBE
Kinematic intensities with the Lorentz-polarization factor, no thermal factor.

Crystal structure
```
data_Ca4ZnBi3
_space_group_name_H-M_alt 'I 4/m c m'
_space_group_IT_number 140
_space_group_name_Hall '-I 4 2c'
_cell_length_a 12.3244
_cell_length_b 12.3244
_cell_length_c 6.4910
_cell_angle_alpha 90.00
_cell_angle_beta 90.00
_cell_angle_gamma 90.00
loop_
_atom_site_label
_atom_site_fract_x
_atom_site_fract_y
_atom_site_fract_z
Ca1 0.0756 0.2233 0.0000
Zn1 0.0000 0.5000 0.2500
Bi1 0.0000 0.0000 0.2500
Bi2 0.1645 0.3355 0.5000
```

Most intense lines, 5 to 70 degrees two-theta, low angle first:
(2 1 1), 4.201 Å, rel. 100; (3 1 0), 3.897 Å, rel. 62; (2 0 2), 2.872 Å, rel. 78; (4 2 0), 2.756 Å, rel. 55; (4 1 1), 2.715 Å, rel. 84; (4 0 2), 2.235 Å, rel. 33; (3 3 2), 2.165 Å, rel. 44; (5 2 1), 2.158 Å, rel. 34